[1]
The following is a simulated powder diffraction line list of GeAs. It was derived from a structure optimized by DFT (GGA-PBE), using Cu Kα (λ = 1.5418 Å).

a b c (Å): 16.650 3.833 9.902
angles (deg): 90.00 104.82 90.00
Space group C2/m (No. 12)
Symmetry-distinct sites (fractional):
Ge1 0.067 0.000 0.091 (multiplicity 4)
Ge2 0.131 0.500 0.420 (multiplicity 4)
Ge3 0.240 0.500 0.290 (multiplicity 4)
As1 0.037 0.000 0.327 (multiplicity 4)
As2 0.154 0.500 0.046 (multiplicity 4)
As3 0.161 0.500 0.680 (multiplicity 4)

Principal peaks in the range 10° ≤ 2θ ≤ 90°, most intense first:
3.119 Å, I = 100
1.916 Å, I = 32
3.191 Å, I = 32
1.982 Å, I = 28
3.561 Å, I = 28
7.123 Å, I = 28
2.081 Å, I = 22
2.844 Å, I = 21
2.167 Å, I = 21
2.736 Å, I = 20



[2]
The following is a simulated powder diffraction line list of GeAs3. It was derived from a structure optimized by DFT (GGA-PBE), using Cu Kα (λ = 1.5418 Å).

a b c (Å): 3.7702 3.7702 21.9532
angles (deg): 90.00 90.00 120.00
Space group R3m (No. 160, hexagonal axes)
Symmetry-distinct sites (fractional):
Ge1 0.0000 0.0000 0.0000 (multiplicity 3)
As1 0.0000 0.0000 0.2259 (multiplicity 3)
As2 0.0000 0.0000 0.4980 (multiplicity 3)
As3 0.0000 0.0000 0.7210 (multiplicity 3)

Principal peaks in the range 10° ≤ 2θ ≤ 90°, most intense first:
2.806 Å, I = 100
1.885 Å, I = 34
2.101 Å, I = 31
1.565 Å, I = 17
3.659 Å, I = 16
1.822 Å, I = 16
1.204 Å, I = 14
1.414 Å, I = 10
1.676 Å, I = 10
1.403 Å, I = 8



[3]
The following is a simulated powder diffraction line list of GeAs2. It was derived from a structure optimized by DFT (GGA-PBE), using Cu Kα (λ = 1.5418 Å).

a b c (Å): 10.663 15.531 3.772
angles (deg): 90.00 90.00 90.00
Space group Pbam (No. 55)
Symmetry-distinct sites (fractional):
Ge1 0.077 0.149 0.000 (multiplicity 4)
Ge2 0.209 0.772 0.500 (multiplicity 4)
As1 0.060 0.896 0.500 (multiplicity 4)
As2 0.115 0.621 0.500 (multiplicity 4)
As3 0.145 0.301 0.000 (multiplicity 4)
As4 0.237 0.552 0.000 (multiplicity 4)

Principal peaks in the range 10° ≤ 2θ ≤ 90°, most intense first:
3.021 Å, I = 100
3.139 Å, I = 30
3.648 Å, I = 29
2.863 Å, I = 28
1.806 Å, I = 25
2.007 Å, I = 24
1.886 Å, I = 24
2.095 Å, I = 23
7.765 Å, I = 21
2.622 Å, I = 21